Structure and computed XRD peak list of CaSmMg2 (a cell relaxed with PBE; Cu Kα X-rays).

Most intense lines, 10 to 90 degrees two-theta, by angle:
2θ (°)  Rel. int.
19.71  43
22.80  41
32.46  100
38.26  25
40.03  12
46.56  18
51.02  11
52.45  17
57.90  37
77.35  15

Structural model:
```
data_CaSmMg2
_chemical_formula_sum 'Ca4 Sm4 Mg8'
_symmetry_space_group_name_H-M 'F m -3 m'
_symmetry_Int_Tables_number 225
_symmetry_space_group_name_Hall '-F 4 2 3'
_cell_length_a 7.802
_cell_length_b 7.802
_cell_length_c 7.802
_cell_angle_alpha 90.00
_cell_angle_beta 90.00
_cell_angle_gamma 90.00
loop_
_atom_site_label
_atom_site_type_symbol
_atom_site_fract_x
_atom_site_fract_y
_atom_site_fract_z
Ca1 Ca 0.000 0.000 0.000
Sm1 Sm 0.000 0.000 0.500
Mg1 Mg 0.250 0.250 0.250
```